(1)
# Mn2FeN2
Simulated PXRD pattern, λ = 1.5418 Å (Cu Kα). Input: the GGA-PBE geometry in the Materials Project.
Lines closer than 0.1° are merged.

Principal peaks in the range 15° ≤ 2θ ≤ 90°, in order of rising 2θ:
- hkl 2 0 -1, 2θ = 37.54°, I = 100
- hkl 0 0 3, 2θ = 45.93°, I = 22
- hkl 1 1 -2, 2θ = 46.20°, I = 56
- hkl 2 0 2, 2θ = 46.36°, I = 28
- hkl 3 1 0, 2θ = 61.35°, I = 24
- hkl 2 2 2, 2θ = 80.05°, I = 17

```
data_Mn2FeN2
_cell_length_a 5.2302
_cell_length_b 3.0302
_cell_length_c 5.9273
_cell_angle_alpha 90.00
_cell_angle_beta 90.14
_cell_angle_gamma 90.00
_space_group_name_H-M_alt 'C 1 2/m 1'
_space_group_IT_number 12
loop_
_space_group_symop_operation_xyz
'x,y,z'
'-x,-y,-z'
'-x,y,-z'
'x,-y,z'
'x+1/2,y+1/2,z'
'-x+1/2,-y+1/2,-z'
'-x+1/2,y+1/2,-z'
'x+1/2,-y+1/2,z'
loop_
_atom_site_label
_atom_site_fract_x
_atom_site_fract_y
_atom_site_fract_z
Mn1 0.1666 0.0000 0.3331
Fe1 0.0000 0.5000 0.0000
N1 0.1675 0.0000 0.7624
```

***

(2)
# Mn3Fe3N5
Simulated PXRD pattern, λ = 1.5418 Å (Cu Kα). Input: the GGA-PBE geometry in the Materials Project.
Lines closer than 0.1° are merged.

Principal peaks in the range 15° ≤ 2θ ≤ 90°, in order of rising 2θ:
- hkl 1 2 -2, 2θ = 37.93°, I = 100
- hkl 1 0 -3, 2θ = 39.24°, I = 71
- hkl 0 2 1, 2θ = 41.53°, I = 55
- hkl 2 -2 0, 2θ = 42.00°, I = 32
- hkl 1 -3 3, 2θ = 52.90°, I = 26
- hkl -3 1 2, 2θ = 54.75°, I = 30

```
data_Mn3Fe3N5
_cell_length_a 5.4638
_cell_length_b 5.9451
_cell_length_c 7.5432
_cell_angle_alpha 112.36
_cell_angle_beta 101.07
_cell_angle_gamma 99.17
_space_group_name_H-M_alt 'P -1'
_space_group_IT_number 2
loop_
_space_group_symop_operation_xyz
'x,y,z'
'-x,-y,-z'
loop_
_atom_site_label
_atom_site_fract_x
_atom_site_fract_y
_atom_site_fract_z
Mn1 0.0829 0.3768 0.3557
Mn2 0.2118 0.0531 0.7106
Mn3 0.3263 0.9131 0.0997
Fe1 0.2170 0.4451 0.0418
Fe2 0.3725 0.5819 0.7734
Fe3 0.4692 0.2278 0.4816
N1 0.0881 0.6226 0.8906
N2 0.1511 0.0582 0.2989
N3 0.2281 0.7039 0.5788
N4 0.3531 0.1615 0.0002
N5 0.4939 0.6966 0.2552
```

***

(3)
# Sr8Mn2FeN8
Simulated PXRD pattern, λ = 1.5418 Å (Cu Kα). Input: the GGA-PBE geometry in the Materials Project.
Lines closer than 0.1° are merged.

Principal peaks in the range 15° ≤ 2θ ≤ 90°, in order of rising 2θ:
- hkl 3 1 1, 2θ = 27.36°, I = 27
- hkl 1 1 -2, 2θ = 28.99°, I = 58
- hkl 5 1 -1, 2θ = 29.51°, I = 79
- hkl 5 1 0, 2θ = 29.80°, I = 38
- hkl 1 1 2, 2θ = 31.29°, I = 67
- hkl 0 2 0, 2θ = 33.58°, I = 100

```
data_Sr8Mn2FeN8
_cell_length_a 18.8701
_cell_length_b 5.3375
_cell_length_c 7.5648
_cell_angle_alpha 90.00
_cell_angle_beta 106.18
_cell_angle_gamma 90.00
_space_group_name_H-M_alt 'C 1 2/m 1'
_space_group_IT_number 12
loop_
_space_group_symop_operation_xyz
'x,y,z'
'-x,-y,-z'
'-x,y,-z'
'x,-y,z'
'x+1/2,y+1/2,z'
'-x+1/2,-y+1/2,-z'
'-x+1/2,y+1/2,-z'
'x+1/2,-y+1/2,z'
loop_
_atom_site_label
_atom_site_fract_x
_atom_site_fract_y
_atom_site_fract_z
Sr1 0.0291 0.0000 0.2586
Sr2 0.0962 0.5000 0.9657
Sr3 0.1671 0.5000 0.4666
Sr4 0.1993 0.0000 0.8065
Mn1 0.1878 0.0000 0.2063
Fe1 0.0000 0.5000 0.5000
N1 0.0254 0.5000 0.2825
N2 0.1078 0.0000 0.0150
N3 0.1778 0.0000 0.4264
N4 0.2243 0.5000 0.8280
```

***

(4)
# Mn3FeP4
Simulated PXRD pattern, λ = 1.5418 Å (Cu Kα). Input: the GGA-PBE geometry in the Materials Project.
Lines closer than 0.1° are merged.

Principal peaks in the range 15° ≤ 2θ ≤ 90°, in order of rising 2θ:
- hkl 0 1 1, 2θ = 32.47°, I = 69
- hkl 1 1 -1, 2θ = 36.96°, I = 36
- hkl 1 1 2, 2θ = 46.10°, I = 57
- hkl 2 0 -2, 2θ = 47.10°, I = 47
- hkl 2 1 -1, 2θ = 48.30°, I = 100
- hkl 0 1 3, 2θ = 55.77°, I = 44

```
data_Mn3FeP4
_cell_length_a 5.1615
_cell_length_b 3.1326
_cell_length_c 5.8108
_cell_angle_alpha 90.00
_cell_angle_beta 90.00
_cell_angle_gamma 90.00
_space_group_name_H-M_alt 'P 1 m 1'
_space_group_IT_number 6
loop_
_space_group_symop_operation_xyz
'x,y,z'
'x,-y,z'
loop_
_atom_site_label
_atom_site_fract_x
_atom_site_fract_y
_atom_site_fract_z
Mn1 0.0000 0.0000 0.0000
Mn2 0.0099 0.5000 0.6071
Mn3 0.5004 0.0000 0.0989
Fe1 0.5087 0.5000 0.4951
P1 0.1894 0.5000 0.2348
P2 0.3156 0.0000 0.7266
P3 0.6904 0.5000 0.8659
P4 0.8142 0.0000 0.3749
```